[1]
Simulated powder X-ray diffraction pattern of Er2Tl2C for copper Kα, from a structure optimized by DFT (PBE).
No peak broadening, texture or thermal motion is included.

Cell and atoms:
Cell: 3.6052 3.6052 31.2270 Å, 90.00 90.00 120.00°
Space group R-3m (No. 166, hexagonal axes)
Symmetry-distinct sites (fractional):
1 Er 0.0000 0.0000 0.1251 (multiplicity 6)
2 Tl 0.0000 0.0000 0.2937 (multiplicity 6)
3 C 0.0000 0.0000 0.5000 (multiplicity 3)

The 10 most intense peaks (2θ = 15–90°), by intensity:
index, two_theta, d_spacing, I (rel.)
0 1 5, 32.05, 2.793, 100
1 0 7, 35.08, 2.558, 70
1 1 0, 50.64, 1.803, 38
1 1 12, 62.70, 1.482, 38
0 0 12, 34.47, 2.602, 35
0 1 2, 29.17, 3.062, 34
1 0 10, 40.87, 2.208, 18
0 1 17, 58.28, 1.583, 18
2 0 5, 61.20, 1.515, 16
1 2 5, 83.34, 1.160, 14



[2]
Simulated powder X-ray diffraction pattern of Si2BrO for copper Kα, from a structure optimized by DFT (PBE).
No peak broadening, texture or thermal motion is included.

Cell and atoms:
Cell: 4.669 4.669 13.447 Å, 90.00 90.00 90.00°
Space group I-42d (No. 122)
Symmetry-distinct sites (fractional):
1 Si 0.064 0.250 0.125 (multiplicity 8)
2 Br 0.000 0.000 0.500 (multiplicity 4)
3 O 0.000 0.000 0.000 (multiplicity 4)

The 10 most intense peaks (2θ = 15–90°), by intensity:
index, two_theta, d_spacing, I (rel.)
1 1 2, 30.16, 2.964, 100
1 0 3, 27.59, 3.234, 64
2 0 0, 38.60, 2.332, 45
2 1 1, 43.88, 2.063, 38
2 0 4, 47.41, 1.918, 30
1 1 6, 49.13, 1.854, 24
2 2 4, 62.70, 1.482, 21
3 1 2, 64.63, 1.442, 19
2 1 7, 66.09, 1.414, 12
3 1 6, 77.40, 1.233, 11



[3]
Simulated powder X-ray diffraction pattern of LaAs2Se for copper Kα, from a structure optimized by DFT (PBE).
No peak broadening, texture or thermal motion is included.

Cell and atoms:
Cell: 4.170 4.253 6.012 Å, 90.00 109.91 90.00°
Space group Pm (No. 6)
Symmetry-distinct sites (fractional):
1 La 0.000 0.000 0.000 (multiplicity 1)
2 As 0.311 0.000 0.569 (multiplicity 1)
3 As 0.977 0.500 0.591 (multiplicity 1)
4 Se 0.557 0.500 0.134 (multiplicity 1)

The 10 most intense peaks (2θ = 15–90°), by intensity:
index, two_theta, d_spacing, I (rel.)
1 1 -1, 31.08, 2.877, 100
1 1 1, 38.44, 2.342, 41
0 0 2, 31.66, 2.826, 35
0 2 0, 42.51, 2.127, 24
0 1 2, 38.24, 2.354, 17
1 1 -2, 38.63, 2.331, 15
0 2 2, 53.96, 1.699, 15
1 3 -1, 70.70, 1.332, 14
1 0 -2, 32.12, 2.787, 14
1 0 1, 31.90, 2.805, 13